For RbZn6Au3, a DFT-relaxed cell (PBE, Alexandria) gives the calculated powder diffractogram in this record (Cu Ka).
No peak broadening, texture or thermal motion is included.

Principal peaks in the range 10 to 90 degrees two-theta, most intense first:
37.66°, intensity 100; 37.82°, intensity 91; 28.45°, intensity 90; 36.58°, intensity 57; 22.65°, intensity 56; 41.45°, intensity 48; 43.57°, intensity 47; 14.37°, intensity 45; 20.57°, intensity 41; 40.27°, intensity 40

Cell and atoms:
Lattice parameters (Å, degrees): 6.919 7.526 8.815 90.00 117.03 90.00
Element x y z (fractional)
Rb  0.000  0.000  0.000
Rb  0.000  0.500  0.500
Zn  0.170  0.056  0.659
Zn  0.170  0.444  0.159
Zn  0.302  0.189  0.400
Zn  0.302  0.311  0.900
Zn  0.455  0.749  0.262
Zn  0.455  0.751  0.762
Zn  0.545  0.249  0.238
Zn  0.545  0.251  0.738
Zn  0.698  0.689  0.100
Zn  0.698  0.811  0.600
Zn  0.830  0.556  0.841
Zn  0.830  0.944  0.341
Au  0.247  0.641  0.937
Au  0.247  0.859  0.437
Au  0.500  0.000  0.000
Au  0.500  0.500  0.500
Au  0.753  0.141  0.563
Au  0.753  0.359  0.063

***

For Sr2IrRh, a DFT-relaxed cell (PBE, Alexandria) gives the calculated powder diffractogram in this record (Cu Ka).
No peak broadening, texture or thermal motion is included.

Principal peaks in the range 10 to 90 degrees two-theta, most intense first:
31.89°, intensity 100; 28.46°, intensity 98; 17.00°, intensity 75; 37.65°, intensity 69; 20.54°, intensity 66; 51.69°, intensity 51; 37.86°, intensity 48; 39.84°, intensity 44; 39.57°, intensity 43; 56.13°, intensity 32

Cell and atoms:
Lattice parameters (Å, degrees): 4.555 5.731 5.731 48.99 90.00 90.00
Element x y z (fractional)
Sr  0.000  0.000  0.000
Sr  0.500  0.291  0.291
Ir  0.000  0.687  0.687
Rh  0.500  0.606  0.606

***

For ErBeTl, a DFT-relaxed cell (PBE, Alexandria) gives the calculated powder diffractogram in this record (Cu Ka).
No peak broadening, texture or thermal motion is included.

Principal peaks in the range 10 to 90 degrees two-theta, most intense first:
31.38°, intensity 100; 38.88°, intensity 58; 35.57°, intensity 46; 32.05°, intensity 41; 35.39°, intensity 35; 25.10°, intensity 28; 28.63°, intensity 23; 17.04°, intensity 22; 12.47°, intensity 22; 34.59°, intensity 18

Cell and atoms:
Lattice parameters (Å, degrees): 5.846 5.846 7.640 110.75 110.75 34.37
Element x y z (fractional)
Er  0.102  0.102  0.370
Er  0.898  0.898  0.630
Be  0.095  0.095  0.990
Be  0.905  0.905  0.010
Tl  0.331  0.331  0.228
Tl  0.669  0.669  0.772

***

Question: Which formula does entry 1 have?
Answer: RbZn6Au3